1.
The following is a simulated X-ray diffraction stick pattern of CePr3As3. It was derived from a crystal structure in Alexandria, relaxed with PBE, using Cu Kα, 1.54184 Å.

Atomic structure:
abc: 9.075 9.075 9.075
angles: 90.00 90.00 90.00
Space group P2_13 (No. 198)
Inequivalent atoms, fractional coordinates:
Ce 0.068 0.432 0.568 [4 per cell]
Pr 0.066 0.566 0.934 [4 per cell]
Pr 0.183 0.183 0.183 [4 per cell]
Pr 0.184 0.816 0.316 [4 per cell]
As 0.001 0.746 0.624 [12 per cell]

Largest 12 diffraction maxima, sorted by position, 2θ from 5° to 70°:
| two_theta | d [Å] | I_rel | index |
| --- | --- | --- | --- |
| 24.02 | 3.705 | 9 | 2 1 1 |
| 27.80 | 3.209 | 13 | 2 2 0 |
| 31.16 | 2.870 | 100 | 3 1 0 |
| 37.06 | 2.425 | 61 | 3 2 1 |
| 44.65 | 2.029 | 6 | 4 2 0 |
| 46.96 | 1.935 | 8 | 3 3 2 |
| 49.18 | 1.853 | 18 | 4 2 2 |
| 51.33 | 1.780 | 32 | 4 1 3 |
| 55.46 | 1.657 | 4 | 5 2 1 |
| 63.15 | 1.472 | 22 | 6 1 1 |
| 64.99 | 1.435 | 12 | 6 2 0 |
| 66.80 | 1.400 | 14 | 5 1 4 |

2.
The following is a simulated X-ray diffraction stick pattern of Sr2CePrAs4. It was derived from a crystal structure in Alexandria, relaxed with PBE, using Cu Kα, 1.54184 Å.

Atomic structure:
abc: 7.565 4.356 7.606
angles: 90.00 109.40 90.00
Space group P2/m (No. 10)
Inequivalent atoms, fractional coordinates:
Sr 0.000 0.000 0.000 [1 per cell]
Sr 0.500 0.500 0.000 [1 per cell]
Ce 0.000 0.500 0.500 [1 per cell]
Pr 0.500 0.000 0.500 [1 per cell]
As 0.234 0.000 0.723 [2 per cell]
As 0.250 0.500 0.271 [2 per cell]

Largest 12 diffraction maxima, sorted by position, 2θ from 5° to 70°:
| two_theta | d [Å] | I_rel | index |
| --- | --- | --- | --- |
| 12.34 | 7.174 | 10 | 0 0 1 |
| 24.98 | 3.564 | 5 | 2 0 0 |
| 28.88 | 3.092 | 100 | 1 1 1 |
| 41.19 | 2.191 | 36 | 1 1 -3 |
| 41.40 | 2.181 | 38 | 0 2 0 |
| 50.91 | 1.794 | 6 | 0 0 4 |
| 51.26 | 1.782 | 20 | 2 2 -2 |
| 59.75 | 1.548 | 4 | 4 0 -4 |
| 59.87 | 1.545 | 8 | 2 2 2 |
| 67.63 | 1.385 | 15 | 3 1 -5 |
| 67.88 | 1.381 | 11 | 5 1 -3 |
| 68.01 | 1.378 | 6 | 1 3 1 |